For SrCo2As2O8, a GGA+U-relaxed structure gives the computed powder diffractogram in this record (Cu Kα X-rays).
Kinematic intensities with the Lorentz-polarization factor, no thermal factor.

The 10 most intense peaks (2θ = 10–90°), by angle:
| 2theta | intensity | index |
| --- | --- | --- |
| 26.72 | 100 | 0 2 0 |
| 27.03 | 21 | -1 1 2 |
| 28.76 | 22 | 1 -1 2 |
| 29.88 | 65 | 1 1 -3 |
| 30.22 | 21 | 1 1 1 |
| 31.11 | 32 | 1 0 2 |
| 31.64 | 40 | 2 0 -1 |
| 32.34 | 28 | -2 1 1 |
| 32.47 | 40 | 1 -2 2 |
| 44.99 | 27 | 1 3 -3 |

Crystal structure
```
SrCo2As2O8
1.0
5.7311 0.0000 0.0000
-1.1239 7.1399 0.0000
-2.7325 -3.2626 8.5628
Sr Co As O
2 4 4 16
direct
0.1984 0.2471 0.4509 Sr
0.8016 0.7529 0.5491 Sr
0.0821 0.8028 0.9428 Co
0.3221 0.2248 0.8442 Co
0.6779 0.7752 0.1558 Co
0.9179 0.1972 0.0572 Co
0.1548 0.6793 0.2578 As
0.4555 0.7786 0.7997 As
0.5445 0.2214 0.2003 As
0.8452 0.3207 0.7422 As
0.0458 0.3176 0.9177 O
0.0463 0.8392 0.3824 O
0.0959 0.4426 0.2628 O
0.2362 0.9240 0.7982 O
0.2365 0.0740 0.1329 O
0.3861 0.6238 0.6140 O
0.4107 0.6786 0.9381 O
0.4728 0.7690 0.2961 O
0.5272 0.2310 0.7039 O
0.5893 0.3214 0.0619 O
0.6139 0.3762 0.3860 O
0.7635 0.9260 0.8671 O
0.7638 0.0760 0.2018 O
0.9041 0.5574 0.7372 O
0.9537 0.1608 0.6176 O
0.9542 0.6824 0.0823 O
```